Starting from the GGA-PBE geometry in OQMD, the powder diffractogram of NbSe3 was computed for Cu Ka.

abc: 10.284 3.504 15.698
angles: 90.00 108.82 90.00
Sites, in units of the cell vectors:
Nb: 0.036 0.250 0.383
Nb: 0.335 0.250 0.038
Nb: 0.385 0.250 0.708
Nb: 0.615 0.750 0.292
Nb: 0.665 0.750 0.962
Nb: 0.964 0.750 0.617
Se: 0.064 0.750 0.262
Se: 0.123 0.250 0.568
Se: 0.165 0.750 0.075
Se: 0.174 0.750 0.923
Se: 0.219 0.750 0.749
Se: 0.243 0.750 0.416
Se: 0.410 0.250 0.223
Se: 0.416 0.750 0.589
Se: 0.461 0.250 0.906
Se: 0.539 0.750 0.094
Se: 0.584 0.250 0.411
Se: 0.590 0.750 0.777
Se: 0.757 0.250 0.584
Se: 0.781 0.250 0.251
Se: 0.826 0.250 0.077
Se: 0.835 0.250 0.925
Se: 0.877 0.750 0.432
Se: 0.936 0.250 0.738

Top 12 peaks for 10 to 80 degrees two-theta, sorted by position:
- 18.29 deg, I = 38.0, (2 0 -2)
- 30.88 deg, I = 41.3, (2 1 -1)
- 31.48 deg, I = 100.0, (2 1 -2)
- 33.19 deg, I = 82.3, (2 1 1)
- 36.28 deg, I = 53.5, (0 0 6)
- 37.75 deg, I = 54.3, (3 0 3)
- 37.89 deg, I = 49.8, (3 0 -6)
- 38.47 deg, I = 30.4, (1 1 -5)
- 39.52 deg, I = 46.8, (2 1 -5)
- 43.61 deg, I = 62.6, (2 1 4)
- 44.81 deg, I = 29.3, (0 1 6)
- 52.21 deg, I = 44.7, (0 2 0)